# 1
Starting from a DFT-relaxed cell (PBE, the Materials Project), the XRD peak list of SbP2O7 was simulated for copper Kα.
Kinematic intensities with the Lorentz-polarization factor, no thermal factor.

Main lines, by angle (2θ from 5° to 70°):
h k l	2θ (°)	Rel. int.
1 0 0	13.69	40
0 1 0	14.61	62
0 1 1	15.61	100
1 0 -1	19.07	67
0 0 2	27.01	59
0 2 1	27.27	48
2 0 -1	30.60	41
2 0 1	30.94	47

Structural model:
```
SbP2O7
1.0
6.5319 0.0000 0.0000
0.9061 6.5626 0.0000
0.2836 2.7344 6.6018
Sb P O
2 4 14
direct
0.1747 0.0889 0.2707
0.8253 0.9111 0.7293
0.1159 0.6566 0.1407
0.3639 0.7736 0.7464
0.6361 0.2264 0.2536
0.8841 0.3434 0.8593
0.0894 0.4185 0.2733
0.0920 0.2147 0.9671
0.1641 0.9395 0.6233
0.2014 0.7758 0.2596
0.2729 0.6431 0.9670
0.4569 0.6221 0.6524
0.4887 0.0774 0.2140
0.5113 0.9226 0.7860
0.5431 0.3779 0.3476
0.7271 0.3569 0.0330
0.7986 0.2242 0.7404
0.8359 0.0605 0.3767
0.9080 0.7853 0.0329
0.9106 0.5815 0.7267
```

# 2
Starting from a DFT-relaxed cell (PBE, the Materials Project), the XRD peak list of SbP2O7 was simulated for copper Kα.
Kinematic intensities with the Lorentz-polarization factor, no thermal factor.

Main lines, by angle (2θ from 5° to 70°):
h k l	2θ (°)	Rel. int.
0 1 1	13.95	53
1 1 -1	16.64	71
0 0 2	19.82	43
1 1 1	21.46	100
0 2 1	22.12	53
1 0 2	27.48	54
1 2 -2	27.95	66
2 1 -2	28.77	42

Structural model:
```
SbP2O7
1.0
7.2003 0.0000 0.0000
0.0000 8.9978 0.0000
-3.3375 0.0000 8.9572
Sb P O
4 8 28
direct
0.2106 0.0683 0.3185
0.2106 0.4317 0.8185
0.7894 0.5683 0.1815
0.7894 0.9317 0.6815
0.0266 0.7199 0.9598
0.0266 0.7801 0.4598
0.4082 0.7446 0.2353
0.4082 0.7554 0.7353
0.5918 0.2446 0.2647
0.5918 0.2554 0.7647
0.9734 0.2199 0.5402
0.9734 0.2801 0.0402
0.0013 0.0912 0.6515
0.0013 0.4088 0.1515
0.0086 0.1250 0.1196
0.0086 0.3750 0.6196
0.1137 0.2155 0.4496
0.1137 0.2845 0.9496
0.2485 0.7115 0.0661
0.2485 0.7885 0.5661
0.3752 0.6429 0.3445
0.3752 0.8571 0.8445
0.3922 0.2372 0.2961
0.3922 0.2628 0.7961
0.3916 0.5837 0.7600
0.3916 0.9163 0.2600
0.6084 0.0837 0.7400
0.6084 0.4163 0.2400
0.6078 0.7372 0.2039
0.6078 0.7628 0.7039
0.6248 0.1429 0.1555
0.6248 0.3571 0.6555
0.7515 0.2115 0.4339
0.7515 0.2885 0.9339
0.8863 0.7155 0.0504
0.8863 0.7845 0.5504
0.9914 0.6250 0.3804
0.9914 0.8750 0.8804
0.9987 0.5912 0.8485
0.9987 0.9088 0.3485
```

Please write out number 2 again, unchanged.
Starting from a DFT-relaxed cell (PBE, the Materials Project), the XRD peak list of SbP2O7 was simulated for copper Kα.
Kinematic intensities with the Lorentz-polarization factor, no thermal factor.

Main lines, by angle (2θ from 5° to 70°):
h k l	2θ (°)	Rel. int.
0 1 1	13.95	53
1 1 -1	16.64	71
0 0 2	19.82	43
1 1 1	21.46	100
0 2 1	22.12	53
1 0 2	27.48	54
1 2 -2	27.95	66
2 1 -2	28.77	42

Structural model:
```
SbP2O7
1.0
7.2003 0.0000 0.0000
0.0000 8.9978 0.0000
-3.3375 0.0000 8.9572
Sb P O
4 8 28
direct
0.2106 0.0683 0.3185
0.2106 0.4317 0.8185
0.7894 0.5683 0.1815
0.7894 0.9317 0.6815
0.0266 0.7199 0.9598
0.0266 0.7801 0.4598
0.4082 0.7446 0.2353
0.4082 0.7554 0.7353
0.5918 0.2446 0.2647
0.5918 0.2554 0.7647
0.9734 0.2199 0.5402
0.9734 0.2801 0.0402
0.0013 0.0912 0.6515
0.0013 0.4088 0.1515
0.0086 0.1250 0.1196
0.0086 0.3750 0.6196
0.1137 0.2155 0.4496
0.1137 0.2845 0.9496
0.2485 0.7115 0.0661
0.2485 0.7885 0.5661
0.3752 0.6429 0.3445
0.3752 0.8571 0.8445
0.3922 0.2372 0.2961
0.3922 0.2628 0.7961
0.3916 0.5837 0.7600
0.3916 0.9163 0.2600
0.6084 0.0837 0.7400
0.6084 0.4163 0.2400
0.6078 0.7372 0.2039
0.6078 0.7628 0.7039
0.6248 0.1429 0.1555
0.6248 0.3571 0.6555
0.7515 0.2115 0.4339
0.7515 0.2885 0.9339
0.8863 0.7155 0.0504
0.8863 0.7845 0.5504
0.9914 0.6250 0.3804
0.9914 0.8750 0.8804
0.9987 0.5912 0.8485
0.9987 0.9088 0.3485
```